[1]
The following is a computed X-ray diffraction stick pattern of Pr3Al2Zn6Ga. It was derived from a GGA-PBE-relaxed structure, using CuKα.
Kinematic intensities with the Lorentz-polarization factor, no thermal factor.

Atomic structure:
```
data_Pr3Al2Zn6Ga
_space_group_name_H-M_alt 'P -3 m 1'
_space_group_IT_number 164
_space_group_name_Hall '-P 3 2"'
_cell_length_a 6.0650
_cell_length_b 6.0650
_cell_length_c 8.2486
_cell_angle_alpha 90.00
_cell_angle_beta 90.00
_cell_angle_gamma 120.00
loop_
_atom_site_label
_atom_site_fract_x
_atom_site_fract_y
_atom_site_fract_z
Pr1 0.0000 0.0000 0.0000
Pr2 0.3333 0.6667 0.6489
Al1 0.3333 0.6667 0.0360
Zn1 0.1865 0.3729 0.2987
Ga1 0.0000 0.0000 0.5000
```

Peak list (10 most intense, 2θ = 10–90°, in order of rising 2θ)
- hkl 0 0 1, 10.73°, I 28
- hkl 1 0 1, 20.04°, I 22
- hkl 0 1 2, 27.50°, I 50
- hkl 1 1 0, 29.45°, I 51
- hkl 0 0 3, 32.57°, I 37
- hkl 0 2 1, 35.89°, I 100
- hkl 1 1 2, 36.79°, I 24
- hkl 2 0 2, 40.73°, I 84
- hkl 0 2 4, 56.76°, I 21
- hkl 2 2 0, 61.12°, I 28

---

[2]
The following is a computed X-ray diffraction stick pattern of Y3Se4. It was derived from a GGA-PBE-relaxed structure, using CuKα.
Kinematic intensities with the Lorentz-polarization factor, no thermal factor.

Atomic structure:
```
data_Y3Se4
_space_group_name_H-M_alt 'I 4/m m m'
_space_group_IT_number 139
_space_group_name_Hall '-I 4 2'
_cell_length_a 5.757
_cell_length_b 5.757
_cell_length_c 11.397
_cell_angle_alpha 90.00
_cell_angle_beta 90.00
_cell_angle_gamma 90.00
loop_
_atom_site_label
_atom_site_fract_x
_atom_site_fract_y
_atom_site_fract_z
Y1 0.000 0.000 0.000
Y2 0.000 0.500 0.250
Se1 0.000 0.000 0.253
Se2 0.000 0.500 0.000
```

Peak list (10 most intense, 2θ = 10–90°, in order of rising 2θ)
- hkl 1 0 1, 17.26°, I 19
- hkl 2 0 0, 31.07°, I 100
- hkl 0 0 4, 31.39°, I 49
- hkl 2 2 0, 44.51°, I 36
- hkl 2 0 4, 44.75°, I 71
- hkl 2 2 4, 55.48°, I 37
- hkl 4 2 0, 73.57°, I 16
- hkl 4 0 4, 73.75°, I 16
- hkl 2 0 8, 74.28°, I 15
- hkl 4 2 4, 82.16°, I 24